Record 1
Diffraction record for LiCuPO4. The X-ray powder pattern is simulated, not measured: it uses a structure optimized by DFT (GGA-PBE) and Cu Kα (weighted mean of Kα1 and Kα2).
Lines closer than 0.1° are merged.

Largest 10 diffraction maxima, by angle, 5 to 70 degrees two-theta:
2θ (°), d [Å], I_rel
21.18, 4.194, 22
21.31, 4.170, 77
22.00, 4.041, 100
22.20, 4.005, 49
27.41, 3.254, 26
27.72, 3.218, 49
27.95, 3.193, 19
31.16, 2.871, 17
36.48, 2.463, 31
37.13, 2.421, 17

```
data_LiCuPO4
_chemical_formula_sum 'Li4 Cu4 P4 O16'
_space_group_name_H-M_alt 'P 1'
_space_group_IT_number 1
_cell_length_a 8.840
_cell_length_b 4.926
_cell_length_c 8.490
_cell_angle_alpha 90.00
_cell_angle_beta 109.36
_cell_angle_gamma 90.00
loop_
_space_group_symop_operation_xyz
'x,y,z'
loop_
_atom_site_label
_atom_site_fract_x
_atom_site_fract_y
_atom_site_fract_z
_atom_site_occupancy
Li1 0.000 0.162 0.000 1
Li2 0.000 0.838 0.500 1
Li3 0.504 0.321 0.633 1
Li4 0.504 0.679 0.133 1
Cu1 0.238 0.349 0.857 1
Cu2 0.238 0.651 0.357 1
Cu3 0.743 0.193 0.234 1
Cu4 0.743 0.807 0.734 1
P1 0.371 0.185 0.238 1
P2 0.371 0.815 0.738 1
P3 0.874 0.316 0.623 1
P4 0.874 0.684 0.123 1
O1 0.020 0.216 0.772 1
O2 0.020 0.784 0.272 1
O3 0.223 0.287 0.092 1
O4 0.223 0.713 0.592 1
O5 0.363 0.319 0.401 1
O6 0.363 0.681 0.901 1
O7 0.376 0.127 0.756 1
O8 0.376 0.873 0.256 1
O9 0.523 0.285 0.202 1
O10 0.523 0.715 0.702 1
O11 0.722 0.205 0.653 1
O12 0.722 0.795 0.153 1
O13 0.867 0.370 0.108 1
O14 0.867 0.630 0.608 1
O15 0.895 0.198 0.462 1
O16 0.895 0.802 0.962 1
```



Record 2
Diffraction record for Y3Pd2Rh. The X-ray powder pattern is simulated, not measured: it uses a structure optimized by DFT (GGA-PBE) and Cu Kα (weighted mean of Kα1 and Kα2).
Lines closer than 0.1° are merged.

Largest 7 diffraction maxima, by angle, 5 to 70 degrees two-theta:
2θ (°), d [Å], I_rel
25.46, 3.498, 1
36.32, 2.473, 51
36.43, 2.466, 100
52.31, 1.749, 17
52.64, 1.739, 8
65.42, 1.427, 35
65.64, 1.422, 17

```
data_Y3Pd2Rh
_chemical_formula_sum 'Y6 Pd4 Rh2'
_space_group_name_H-M_alt 'P 1'
_space_group_IT_number 1
_cell_length_a 7.821
_cell_length_b 7.821
_cell_length_c 6.955
_cell_angle_alpha 90.00
_cell_angle_beta 90.00
_cell_angle_gamma 143.12
loop_
_space_group_symop_operation_xyz
'x,y,z'
loop_
_atom_site_label
_atom_site_fract_x
_atom_site_fract_y
_atom_site_fract_z
_atom_site_occupancy
Y1 0.000 0.000 0.246 1
Y2 0.000 0.000 0.754 1
Y3 0.331 0.669 0.244 1
Y4 0.331 0.669 0.756 1
Y5 0.669 0.331 0.244 1
Y6 0.669 0.331 0.756 1
Pd1 0.166 0.834 0.500 1
Pd2 0.500 0.500 0.000 1
Pd3 0.500 0.500 0.500 1
Pd4 0.834 0.166 0.500 1
Rh1 0.166 0.834 0.000 1
Rh2 0.834 0.166 0.000 1
```



Record 3
Diffraction record for Al2GePd6. The X-ray powder pattern is simulated, not measured: it uses a structure optimized by DFT (GGA-PBE) and Cu Kα (weighted mean of Kα1 and Kα2).
Lines closer than 0.1° are merged.

Largest 10 diffraction maxima, by angle, 5 to 70 degrees two-theta:
2θ (°), d [Å], I_rel
24.80, 3.590, 6
26.53, 3.360, 11
32.92, 2.720, 14
40.04, 2.252, 100
40.52, 2.226, 16
41.65, 2.168, 21
43.41, 2.084, 27
48.09, 1.892, 22
60.88, 1.522, 9
66.77, 1.401, 16

```
data_Al2GePd6
_chemical_formula_sum 'Al4 Ge2 Pd12'
_space_group_name_H-M_alt 'P 1'
_space_group_IT_number 1
_cell_length_a 8.028
_cell_length_b 8.028
_cell_length_c 4.169
_cell_angle_alpha 90.00
_cell_angle_beta 90.00
_cell_angle_gamma 90.00
loop_
_space_group_symop_operation_xyz
'x,y,z'
loop_
_atom_site_label
_atom_site_fract_x
_atom_site_fract_y
_atom_site_fract_z
_atom_site_occupancy
Al1 0.205 0.205 0.000 1
Al2 0.295 0.705 0.500 1
Al3 0.705 0.295 0.500 1
Al4 0.795 0.795 0.000 1
Ge1 0.000 0.000 0.500 1
Ge2 0.500 0.500 0.000 1
Pd1 0.027 0.321 0.500 1
Pd2 0.126 0.874 0.000 1
Pd3 0.179 0.527 0.000 1
Pd4 0.321 0.027 0.500 1
Pd5 0.374 0.374 0.500 1
Pd6 0.473 0.821 0.000 1
Pd7 0.527 0.179 0.000 1
Pd8 0.626 0.626 0.500 1
Pd9 0.679 0.973 0.500 1
Pd10 0.821 0.473 0.000 1
Pd11 0.874 0.126 0.000 1
Pd12 0.973 0.679 0.500 1
```



Record 4
Diffraction record for AcP5. The X-ray powder pattern is simulated, not measured: it uses a structure optimized by DFT (GGA-PBE) and Cu Kα (weighted mean of Kα1 and Kα2).
Lines closer than 0.1° are merged.

Largest 10 diffraction maxima, by angle, 5 to 70 degrees two-theta:
2θ (°), d [Å], I_rel
16.04, 5.526, 48
18.04, 4.916, 66
22.72, 3.914, 100
24.23, 3.673, 41
26.22, 3.399, 89
28.35, 3.148, 68
33.32, 2.689, 55
33.59, 2.668, 43
33.69, 2.660, 49
42.76, 2.115, 72

```
data_AcP5
_chemical_formula_sum 'Ac2 P10'
_space_group_name_H-M_alt 'P 1'
_space_group_IT_number 1
_cell_length_a 4.930
_cell_length_b 9.832
_cell_length_c 5.791
_cell_angle_alpha 90.00
_cell_angle_beta 107.40
_cell_angle_gamma 90.00
loop_
_space_group_symop_operation_xyz
'x,y,z'
loop_
_atom_site_label
_atom_site_fract_x
_atom_site_fract_y
_atom_site_fract_z
_atom_site_occupancy
Ac1 0.085 0.250 0.399 1
Ac2 0.915 0.750 0.601 1
P1 0.295 0.250 0.948 1
P2 0.304 0.551 0.383 1
P3 0.304 0.949 0.383 1
P4 0.380 0.590 0.035 1
P5 0.380 0.910 0.035 1
P6 0.620 0.090 0.965 1
P7 0.620 0.410 0.965 1
P8 0.696 0.051 0.617 1
P9 0.696 0.449 0.617 1
P10 0.705 0.750 0.052 1
```



Record 5
Diffraction record for RbCoSeCl6. The X-ray powder pattern is simulated, not measured: it uses a structure optimized by DFT (GGA-PBE) and Cu Kα (weighted mean of Kα1 and Kα2).
Lines closer than 0.1° are merged.

Largest 10 diffraction maxima, by angle, 5 to 70 degrees two-theta:
2θ (°), d [Å], I_rel
13.38, 6.618, 55
15.96, 5.554, 66
18.41, 4.820, 100
22.18, 4.008, 43
24.07, 3.697, 29
26.27, 3.392, 39
27.30, 3.267, 29
28.72, 3.109, 51
39.56, 2.278, 28
49.39, 1.845, 29

```
data_RbCoSeCl6
_chemical_formula_sum 'Rb1 Co1 Se1 Cl6'
_space_group_name_H-M_alt 'P 1'
_space_group_IT_number 1
_cell_length_a 6.593
_cell_length_b 7.013
_cell_length_c 7.778
_cell_angle_alpha 85.88
_cell_angle_beta 70.87
_cell_angle_gamma 70.80
loop_
_space_group_symop_operation_xyz
'x,y,z'
loop_
_atom_site_label
_atom_site_fract_x
_atom_site_fract_y
_atom_site_fract_z
_atom_site_occupancy
Rb1 0.000 0.000 0.000 1
Co1 0.539 0.687 0.302 1
Se1 0.990 0.547 0.639 1
Cl1 0.139 0.447 0.866 1
Cl2 0.234 0.820 0.545 1
Cl3 0.511 0.871 0.064 1
Cl4 0.561 0.376 0.265 1
Cl5 0.784 0.341 0.692 1
Cl6 0.840 0.713 0.356 1
```



- Which formula does entry 4 have?
  AcP5